For LiFe8O12, a PBE+U-relaxed structure gives the calculated powder diffractogram in this record (Cu Kα (λ = 1.5418 Å)).
No peak broadening, texture or thermal motion is included.

Top 6 peaks for 15 to 90 degrees two-theta, low angle first:
2θ (°)	I (rel.)
28.3	100
33.8	78
34.1	74
35.3	79
35.9	100
57.3	49

Structural model:
```
data_LiFe8O12
_space_group_name_H-M_alt 'P 1 2 1'
_space_group_IT_number 3
_cell_length_a 5.2669
_cell_length_b 5.3083
_cell_length_c 8.8792
_cell_angle_alpha 90.00
_cell_angle_beta 105.94
_cell_angle_gamma 90.00
loop_
_space_group_symop_operation_xyz
'x,y,z'
'-x,y,-z'
loop_
_atom_site_label
_atom_site_fract_x
_atom_site_fract_y
_atom_site_fract_z
_atom_site_occupancy
Li1 0.0000 0.0000 0.0000 1
Fe1 0.0213 0.4878 0.1957 1
Fe2 0.1675 0.9518 0.4169 1
Fe3 0.3346 0.4372 0.5816 1
Fe4 0.4672 0.8954 0.7992 1
O1 0.0000 0.3531 0.0000 1
O2 0.0000 0.6568 0.5000 1
O3 0.1623 0.8287 0.2062 1
O4 0.1984 0.0836 0.6320 1
O5 0.2823 0.2906 0.3570 1
O6 0.3305 0.5632 0.7932 1
O7 0.5000 0.0135 0.0000 1
O8 0.5000 0.7766 0.5000 1
```